# 1
# SmDyMg2Tl2
Computed powder diffractogram, copper Kα. Input: a structure optimized by DFT (PBE).
Kinematic intensities with the Lorentz-polarization factor, no thermal factor.

Structural model:
abc: 4.9024 4.9024 7.4490
angles: 90.00 90.00 120.00
Space group P3m1 (No. 156)
One atom of each set of equivalent atoms:
Sm1 0.0000 0.0000 0.0000
Dy1 0.0000 0.0000 0.4995
Mg1 0.3333 0.6667 0.2306
Mg2 0.6667 0.3333 0.7218
Tl1 0.3333 0.6667 0.7782
Tl2 0.6667 0.3333 0.2864

Peak list (10 most intense, 5 to 70 degrees two-theta, sorted by position)
2θ/deg	intensity	h k l
24.13	677	0 1 1
31.96	1000	0 1 2
36.66	735	1 1 0
42.16	185	1 0 3
44.37	140	2 0 1
49.42	298	2 0 2
58.87	123	1 2 1
62.65	247	1 1 4
63.08	288	1 2 2
66.01	133	3 0 0


# 2
# DyTmMg2Sn2
Computed powder diffractogram, copper Kα. Input: a structure optimized by DFT (PBE).
Kinematic intensities with the Lorentz-polarization factor, no thermal factor.

Structural model:
abc: 4.3731 4.3731 15.8268
angles: 90.00 90.00 90.00
Space group I4mm (No. 107)
One atom of each set of equivalent atoms:
Dy1 0.0000 0.0000 0.0000
Tm1 0.0000 0.0000 0.3341
Mg1 0.0000 0.5000 0.1675
Sn1 0.0000 0.0000 0.5308
Sn2 0.0000 0.0000 0.8033

Peak list (10 most intense, 5 to 70 degrees two-theta, sorted by position)
2θ/deg	intensity	h k l
11.18	342	0 0 2
22.47	401	0 0 4
28.87	1000	1 1 0
31.05	391	1 1 2
33.99	280	0 0 6
34.99	326	1 0 5
36.89	779	1 1 4
41.29	555	2 0 0
45.18	329	1 1 6
54.51	293	2 0 6


# 3
# DyTm2Mg4Tl2
Computed powder diffractogram, copper Kα. Input: a structure optimized by DFT (PBE).
Kinematic intensities with the Lorentz-polarization factor, no thermal factor.

Structural model:
abc: 4.6215 13.0929 7.5101
angles: 90.00 90.00 90.00
Space group Amm2 (No. 38)
One atom of each set of equivalent atoms:
Dy1 0.0000 0.0000 0.0000
Tm1 0.0000 0.2188 0.3456
Mg1 0.0000 0.0000 0.5610
Mg2 0.5000 0.0000 0.3214
Mg3 0.5000 0.1206 0.6844
Tl1 0.5000 0.1677 0.0644

Peak list (10 most intense, 5 to 70 degrees two-theta, sorted by position)
2θ/deg	intensity	h k l
13.57	708	0 2 0
23.58	161	0 3 1
30.62	1000	1 0 2
33.55	285	1 4 0
33.66	589	1 2 2
36.37	182	0 5 1
38.98	231	2 0 0
41.43	183	0 6 0
54.35	171	2 5 1
65.48	207	3 0 2


# 4
# DyY2Mg4Tl2
Computed powder diffractogram, copper Kα. Input: a structure optimized by DFT (PBE).
Kinematic intensities with the Lorentz-polarization factor, no thermal factor.

Structural model:
abc: 4.6350 13.1382 7.5918
angles: 90.00 90.00 90.00
Space group Amm2 (No. 38)
One atom of each set of equivalent atoms:
Dy1 0.0000 0.0000 0.0000
Y1 0.0000 0.2175 0.3470
Mg1 0.0000 0.0000 0.5651
Mg2 0.5000 0.0000 0.3223
Mg3 0.5000 0.1212 0.6859
Tl1 0.5000 0.1664 0.0644

Peak list (10 most intense, 5 to 70 degrees two-theta, sorted by position)
2θ/deg	intensity	h k l
13.47	727	0 1 1
23.45	400	0 0 2
30.45	1000	1 3 1
33.43	757	1 4 0
36.16	256	0 1 3
38.86	218	2 0 0
41.22	332	0 6 0
45.84	261	1 3 3
54.10	269	2 1 3
65.06	269	0 3 5